Theoretical powder X-ray diffraction pattern
Compound: NaReMoO6
Radiation: Cu Kα, 1.54184 Å
Structure: the PBE+U geometry in Alexandria

Structure:
```
data_NaReMoO6
_chemical_formula_sum 'Na2 Re2 Mo2 O12'
_space_group_name_H-M_alt 'C 1 2 1'
_space_group_IT_number 5
_cell_length_a 5.4078
_cell_length_b 9.1420
_cell_length_c 5.1333
_cell_angle_alpha 90.00
_cell_angle_beta 90.12
_cell_angle_gamma 90.00
loop_
_space_group_symop_operation_xyz
'x,y,z'
'-x,y,-z'
'x+1/2,y+1/2,z'
'-x+1/2,y+1/2,-z'
loop_
_atom_site_label
_atom_site_type_symbol
_atom_site_fract_x
_atom_site_fract_y
_atom_site_fract_z
Na1 Na 0.0000 0.0000 0.0000
Re1 Re 0.0000 0.3321 0.5000
Mo1 Mo 0.0000 0.6721 0.5000
O1 O 0.1229 0.4909 0.7028
O2 O 0.1697 0.1972 0.7102
O3 O 0.2041 0.8122 0.7105
```

Principal peaks in the range 2θ = 10–90°, sorted by position:
2theta  d_spacing  I/Imax
17.3  5.133  100
19.1  4.654  44
19.4  4.571  25
25.8  3.448  62
26.1  3.414  34
33.1  2.704  17
33.8  2.655  32
37.6  2.393  23
38.2  2.358  44
42.7  2.120  16
49.4  1.845  37
59.6  1.551  12